1.
Simulated XRD peak list
Compound: MnV3P4O16
Radiation: Cu Kα X-rays
Structure: a structure optimized by DFT (GGA+U)
No peak broadening, texture or thermal motion is included.

Top 10 peaks for 10° ≤ 2θ ≤ 80°, by angle:
d (Å)	I (rel.)
5.025	885
4.437	738
4.395	621
3.823	450
3.543	690
3.522	454
2.945	1000
2.517	683
2.494	662
1.887	266

Crystal structure
a = 4.916 Å, b = 5.890 Å, c = 10.050 Å
α = 90.00°, β = 90.70°, γ = 90.00°
Positions (direct):
Mn: 0.000 0.000 0.000
V: 0.075 0.500 0.456
V: 0.493 0.500 0.944
V: 0.574 0.000 0.495
P: 0.140 0.000 0.322
P: 0.474 0.000 0.814
P: 0.645 0.500 0.631
P: 0.930 0.500 0.124
O: 0.199 0.000 0.176
O: 0.234 0.500 0.090
O: 0.289 0.204 0.397
O: 0.289 0.796 0.397
O: 0.335 0.209 0.890
O: 0.335 0.791 0.890
O: 0.339 0.500 0.605
O: 0.386 0.000 0.669
O: 0.711 0.500 0.781
O: 0.770 0.301 0.053
O: 0.770 0.699 0.053
O: 0.779 0.000 0.831
O: 0.791 0.296 0.559
O: 0.791 0.704 0.559
O: 0.837 0.000 0.351
O: 0.901 0.500 0.275

---

2.
Simulated XRD peak list
Compound: MnP6W3O24
Radiation: Cu Kα X-rays
Structure: a structure optimized by DFT (GGA+U)
No peak broadening, texture or thermal motion is included.

Top 10 peaks for 10° ≤ 2θ ≤ 80°, by angle:
d (Å)	I (rel.)
6.271	440
4.488	1000
4.382	815
3.773	362
3.135	574
2.832	432
2.550	356
2.530	270
1.759	205
1.656	207

Crystal structure
a = 8.982 Å, b = 8.982 Å, c = 8.982 Å
α = 58.40°, β = 58.40°, γ = 58.40°
Positions (direct):
Mn: 0.000 0.000 0.000
P: 0.102 0.669 0.395
P: 0.177 0.607 0.887
P: 0.395 0.102 0.669
P: 0.607 0.887 0.177
P: 0.669 0.395 0.102
P: 0.887 0.177 0.607
W: 0.282 0.282 0.282
W: 0.496 0.496 0.496
W: 0.782 0.782 0.782
O: 0.014 0.631 0.848
O: 0.070 0.187 0.437
O: 0.117 0.827 0.216
O: 0.124 0.490 0.383
O: 0.169 0.780 0.880
O: 0.187 0.437 0.070
O: 0.216 0.117 0.827
O: 0.259 0.611 0.466
O: 0.364 0.535 0.732
O: 0.383 0.124 0.490
O: 0.437 0.070 0.187
O: 0.466 0.259 0.611
O: 0.490 0.383 0.124
O: 0.535 0.732 0.364
O: 0.558 0.918 0.709
O: 0.611 0.466 0.259
O: 0.631 0.848 0.014
O: 0.709 0.558 0.918
O: 0.732 0.364 0.535
O: 0.780 0.880 0.169
O: 0.827 0.216 0.117
O: 0.848 0.014 0.631
O: 0.880 0.169 0.780
O: 0.918 0.709 0.558

---

3.
Simulated XRD peak list
Compound: Mn2ZnP2O10
Radiation: Cu Kα X-rays
Structure: a structure optimized by DFT (GGA+U)
No peak broadening, texture or thermal motion is included.

Top 10 peaks for 10° ≤ 2θ ≤ 80°, by angle:
d (Å)	I (rel.)
4.085	366
3.211	573
2.996	381
2.924	1000
2.822	522
2.437	329
2.093	255
2.042	175
1.716	247
1.641	188

Crystal structure
a = 10.031 Å, b = 9.102 Å, c = 6.574 Å
α = 77.72°, β = 62.46°, γ = 39.82°
Positions (direct):
Mn: 0.000 0.000 0.000
Mn: 0.000 0.000 0.500
Mn: 0.000 0.500 0.000
Mn: 0.500 0.000 0.000
Zn: 0.375 0.375 0.375
Zn: 0.625 0.625 0.625
P: 0.168 0.168 0.582
P: 0.418 0.418 0.832
P: 0.582 0.582 0.168
P: 0.832 0.832 0.418
O: 0.035 0.739 0.440
O: 0.046 0.046 0.204
O: 0.065 0.382 0.710
O: 0.204 0.204 0.046
O: 0.261 0.965 0.714
O: 0.286 0.440 0.739
O: 0.290 0.657 0.935
O: 0.343 0.710 0.382
O: 0.382 0.065 0.343
O: 0.440 0.286 0.035
O: 0.560 0.714 0.965
O: 0.618 0.935 0.657
O: 0.657 0.290 0.618
O: 0.710 0.343 0.065
O: 0.714 0.560 0.261
O: 0.739 0.035 0.286
O: 0.796 0.796 0.954
O: 0.935 0.618 0.290
O: 0.954 0.954 0.796
O: 0.965 0.261 0.560

---

4.
Simulated XRD peak list
Compound: MnZnP2O7
Radiation: Cu Kα X-rays
Structure: a structure optimized by DFT (GGA+U)
No peak broadening, texture or thermal motion is included.

Top 10 peaks for 10° ≤ 2θ ≤ 80°, by angle:
d (Å)	I (rel.)
4.448	137
3.102	457
3.082	1000
2.962	691
2.609	246
2.587	131
2.578	131
2.165	240
2.082	143
1.620	294

Crystal structure
a = 5.428 Å, b = 6.575 Å, c = 7.552 Å
α = 80.30°, β = 84.87°, γ = 72.53°
Positions (direct):
Mn: 0.198 0.343 0.341
Mn: 0.802 0.657 0.659
Zn: 0.183 0.848 0.850
Zn: 0.817 0.152 0.150
P: 0.285 0.310 0.897
P: 0.285 0.814 0.410
P: 0.715 0.186 0.590
P: 0.715 0.690 0.103
O: 0.120 0.151 0.924
O: 0.123 0.544 0.837
O: 0.128 0.040 0.328
O: 0.135 0.648 0.426
O: 0.407 0.811 0.588
O: 0.444 0.287 0.060
O: 0.471 0.254 0.725
O: 0.529 0.746 0.275
O: 0.556 0.713 0.940
O: 0.593 0.189 0.412
O: 0.865 0.352 0.574
O: 0.872 0.960 0.672
O: 0.877 0.456 0.163
O: 0.880 0.849 0.076

---

5.
Simulated XRD peak list
Compound: Pa2Mn4O9
Radiation: Cu Kα X-rays
Structure: a structure optimized by DFT (GGA+U)
No peak broadening, texture or thermal motion is included.

Top 10 peaks for 10° ≤ 2θ ≤ 80°, by angle:
d (Å)	I (rel.)
4.793	778
4.046	140
2.964	1000
2.767	655
2.397	138
2.232	164
2.023	292
1.861	193
1.634	285
1.597	138

Crystal structure
a = 5.529 Å, b = 5.536 Å, c = 15.088 Å
α = 90.02°, β = 90.08°, γ = 119.92°
Positions (direct):
Pa: 0.001 0.000 0.142
Pa: 0.002 0.000 0.365
Pa: 0.998 0.000 0.635
Pa: 0.999 0.000 0.858
Mn: 0.331 0.665 0.687
Mn: 0.333 0.667 0.984
Mn: 0.334 0.666 0.192
Mn: 0.334 0.667 0.490
Mn: 0.666 0.333 0.510
Mn: 0.666 0.334 0.808
Mn: 0.667 0.333 0.016
Mn: 0.669 0.335 0.313
O: 0.001 0.288 0.253
O: 0.025 0.365 0.580
O: 0.028 0.666 0.085
O: 0.287 0.287 0.747
O: 0.289 0.000 0.253
O: 0.334 0.362 0.085
O: 0.338 0.977 0.579
O: 0.362 0.028 0.916
O: 0.366 0.341 0.420
O: 0.634 0.659 0.580
O: 0.638 0.972 0.084
O: 0.662 0.023 0.421
O: 0.666 0.638 0.915
O: 0.711 0.000 0.747
O: 0.713 0.713 0.253
O: 0.972 0.334 0.915
O: 0.975 0.635 0.420
O: 0.999 0.712 0.747

---

6.
Simulated XRD peak list
Compound: Pa2Mn2O7
Radiation: Cu Kα X-rays
Structure: a structure optimized by DFT (GGA+U)
No peak broadening, texture or thermal motion is included.

Top 10 peaks for 10° ≤ 2θ ≤ 80°, by angle:
d (Å)	I (rel.)
4.778	1000
4.383	784
3.904	704
3.160	494
3.027	277
2.998	417
2.521	289
2.159	355
1.958	348
1.900	260

Crystal structure
a = 4.394 Å, b = 6.160 Å, c = 15.177 Å
α = 90.00°, β = 94.06°, γ = 90.00°
Positions (direct):
Pa: 0.025 0.000 0.096
Pa: 0.076 0.553 0.307
Pa: 0.924 0.053 0.693
Pa: 0.975 0.500 0.904
Mn: 0.005 0.551 0.521
Mn: 0.458 0.855 0.834
Mn: 0.542 0.355 0.166
Mn: 0.995 0.051 0.479
O: 0.003 0.709 0.016
O: 0.046 0.313 0.183
O: 0.053 0.808 0.211
O: 0.078 0.772 0.416
O: 0.086 0.326 0.410
O: 0.429 0.014 0.717
O: 0.473 0.557 0.895
O: 0.527 0.057 0.105
O: 0.571 0.514 0.283
O: 0.914 0.826 0.590
O: 0.922 0.272 0.584
O: 0.947 0.308 0.789
O: 0.954 0.813 0.817
O: 0.997 0.209 0.984

---

7.
Simulated XRD peak list
Compound: PrPaMn2O8
Radiation: Cu Kα X-rays
Structure: a structure optimized by DFT (GGA+U)
No peak broadening, texture or thermal motion is included.

Top 10 peaks for 10° ≤ 2θ ≤ 80°, by angle:
d (Å)	I (rel.)
4.752	415
3.107	1000
2.884	178
2.608	204
2.286	156
1.934	286
1.844	138
1.705	178
1.586	320
1.554	123

Crystal structure
a = 6.846 Å, b = 6.846 Å, c = 6.846 Å
α = 135.22°, β = 135.22°, γ = 65.19°
Positions (direct):
Pr: 0.000 0.000 0.000
Pa: 0.250 0.750 0.500
Mn: 0.500 0.500 0.000
Mn: 0.750 0.250 0.500
O: 0.271 0.662 0.089
O: 0.338 0.427 0.608
O: 0.393 0.005 0.034
O: 0.573 0.181 0.911
O: 0.641 0.607 0.612
O: 0.819 0.729 0.392
O: 0.971 0.359 0.966
O: 0.995 0.029 0.388